Entry 1:
Starting from a crystal structure in the Materials Project, relaxed with PBE, the powder XRD pattern of MgSn8P4O18 was simulated for λ = 1.5418 Å (Cu Kα).
Peak positions follow from Bragg's law for the DFT cell and can differ from measured ones.

Atomic structure:
Cell lengths 7.3698, 8.0182, 10.4674 Å; angles 74.51, 77.62, 70.13 degrees
Space group P-1 (No. 2)
Inequivalent atoms, fractional coordinates:
Mg1 0.0000 0.0000 0.0000 (multiplicity 1)
Sn1 0.0953 0.9769 0.3055 (multiplicity 2)
Sn2 0.1744 0.3221 0.0314 (multiplicity 2)
Sn3 0.2314 0.5470 0.6243 (multiplicity 2)
Sn4 0.4322 0.6920 0.8869 (multiplicity 2)
P1 0.1814 0.5764 0.2845 (multiplicity 2)
P2 0.3938 0.0982 0.7603 (multiplicity 2)
O1 0.0029 0.1519 0.1243 (multiplicity 2)
O2 0.0587 0.4591 0.2695 (multiplicity 2)
O3 0.1187 0.7703 0.1930 (multiplicity 2)
O4 0.1450 0.6052 0.4296 (multiplicity 2)
O5 0.2530 0.1174 0.8962 (multiplicity 2)
O6 0.3213 0.2610 0.6453 (multiplicity 2)
O7 0.3891 0.9230 0.7244 (multiplicity 2)
O8 0.3992 0.9213 0.2174 (multiplicity 2)
O9 0.4000 0.4794 0.2472 (multiplicity 2)

The 10 most intense peaks (2θ = 15–90°), most intense first:
- 24.51°, I 100, hkl 2 1 1
- 27.51°, I 90, hkl 0 2 -1
- 19.24°, I 88, hkl 0 1 2
- 26.31°, I 76, hkl 1 1 -2
- 28.63°, I 54, hkl 2 0 -1
- 28.14°, I 51, hkl 1 0 3
- 32.15°, I 49, hkl 0 2 3
- 21.72°, I 48, hkl -1 1 1
- 33.10°, I 42, hkl 0 2 -2
- 26.79°, I 38, hkl 0 0 3

Entry 2:
Starting from a crystal structure in the Materials Project, relaxed with PBE, the powder XRD pattern of MgSn8P4O18 was simulated for λ = 1.5418 Å (Cu Kα).
Peak positions follow from Bragg's law for the DFT cell and can differ from measured ones.

Atomic structure:
Cell lengths 7.0934, 8.2033, 11.2076 Å; angles 74.74, 77.79, 65.85 degrees
Space group P1 (No. 1)
Inequivalent atoms, fractional coordinates:
Mg1 0.0000 0.0000 0.0000 (multiplicity 1)
Sn1 0.1180 0.4110 0.5283 (multiplicity 1)
Sn2 0.1677 0.7718 0.2709 (multiplicity 1)
Sn3 0.2346 0.6473 0.8803 (multiplicity 1)
Sn4 0.3681 0.0576 0.7939 (multiplicity 1)
Sn5 0.3969 0.9399 0.4560 (multiplicity 1)
Sn6 0.5044 0.3218 0.1626 (multiplicity 1)
Sn7 0.7239 0.6283 0.9452 (multiplicity 1)
Sn8 0.8522 0.1239 0.7394 (multiplicity 1)
P1 0.0770 0.2435 0.0788 (multiplicity 1)
P2 0.5082 0.5020 0.6086 (multiplicity 1)
P3 0.7038 0.8855 0.1500 (multiplicity 1)
P4 0.8592 0.8410 0.5558 (multiplicity 1)
O1 0.0736 0.0547 0.1572 (multiplicity 1)
O2 0.1076 0.2129 0.9412 (multiplicity 1)
O3 0.1304 0.1821 0.6735 (multiplicity 1)
O4 0.2414 0.2951 0.1080 (multiplicity 1)
O5 0.3646 0.3965 0.6224 (multiplicity 1)
O6 0.4678 0.5876 0.7243 (multiplicity 1)
O7 0.4767 0.6522 0.4881 (multiplicity 1)
O8 0.4787 0.5273 0.9998 (multiplicity 1)
O9 0.6037 0.9053 0.2823 (multiplicity 1)
O10 0.6064 0.7938 0.0910 (multiplicity 1)
O11 0.6163 0.9330 0.5677 (multiplicity 1)
O12 0.6881 0.0799 0.0671 (multiplicity 1)
O13 0.7396 0.3641 0.5966 (multiplicity 1)
O14 0.8549 0.3907 0.0984 (multiplicity 1)
O15 0.9255 0.6366 0.6161 (multiplicity 1)
O16 0.9435 0.8732 0.4153 (multiplicity 1)
O17 0.9482 0.9323 0.6231 (multiplicity 1)
O18 0.9494 0.7814 0.1419 (multiplicity 1)

The 10 most intense peaks (2θ = 15–90°), most intense first:
- 27.20°, I 100, hkl 0 2 -1
- 18.44°, I 94, hkl 0 1 2
- 28.07°, I 59, hkl 2 0 1
- 28.81°, I 59, hkl 2 1 -1
- 24.93°, I 54, hkl 1 1 -2
- 26.57°, I 46, hkl 0 2 2
- 29.29°, I 35, hkl 2 2 0
- 29.87°, I 35, hkl 0 1 -3
- 38.77°, I 34, hkl -2 1 2
- 22.80°, I 33, hkl -1 1 1

Repeat the first record exactly.
Starting from a crystal structure in the Materials Project, relaxed with PBE, the powder XRD pattern of MgSn8P4O18 was simulated for λ = 1.5418 Å (Cu Kα).
Peak positions follow from Bragg's law for the DFT cell and can differ from measured ones.

Atomic structure:
Cell lengths 7.3698, 8.0182, 10.4674 Å; angles 74.51, 77.62, 70.13 degrees
Space group P-1 (No. 2)
Inequivalent atoms, fractional coordinates:
Mg1 0.0000 0.0000 0.0000 (multiplicity 1)
Sn1 0.0953 0.9769 0.3055 (multiplicity 2)
Sn2 0.1744 0.3221 0.0314 (multiplicity 2)
Sn3 0.2314 0.5470 0.6243 (multiplicity 2)
Sn4 0.4322 0.6920 0.8869 (multiplicity 2)
P1 0.1814 0.5764 0.2845 (multiplicity 2)
P2 0.3938 0.0982 0.7603 (multiplicity 2)
O1 0.0029 0.1519 0.1243 (multiplicity 2)
O2 0.0587 0.4591 0.2695 (multiplicity 2)
O3 0.1187 0.7703 0.1930 (multiplicity 2)
O4 0.1450 0.6052 0.4296 (multiplicity 2)
O5 0.2530 0.1174 0.8962 (multiplicity 2)
O6 0.3213 0.2610 0.6453 (multiplicity 2)
O7 0.3891 0.9230 0.7244 (multiplicity 2)
O8 0.3992 0.9213 0.2174 (multiplicity 2)
O9 0.4000 0.4794 0.2472 (multiplicity 2)

The 10 most intense peaks (2θ = 15–90°), most intense first:
- 24.51°, I 100, hkl 2 1 1
- 27.51°, I 90, hkl 0 2 -1
- 19.24°, I 88, hkl 0 1 2
- 26.31°, I 76, hkl 1 1 -2
- 28.63°, I 54, hkl 2 0 -1
- 28.14°, I 51, hkl 1 0 3
- 32.15°, I 49, hkl 0 2 3
- 21.72°, I 48, hkl -1 1 1
- 33.10°, I 42, hkl 0 2 -2
- 26.79°, I 38, hkl 0 0 3